Starting from the GGA+U geometry in the Materials Project, the PXRD pattern of Li9Mn2Co5O16 was simulated for CuKα.

Largest 10 diffraction maxima, sorted by position, 10° ≤ 2θ ≤ 80°:
Position (°2θ)	Rel. int.
18.4	100
36.0	14
36.1	26
37.7	11
43.6	27
43.7	55
47.8	13
57.6	10
63.2	22
63.7	15

Crystal structure
Lattice parameters (Å, degrees): 9.805 9.805 10.128 95.10 95.10 17.09
Atoms (fractional coordinates):
Li  0.000  0.000  0.000
Li  0.122  0.122  0.182
Li  0.125  0.125  0.688
Li  0.374  0.374  0.560
Li  0.379  0.379  0.055
Li  0.621  0.621  0.945
Li  0.626  0.626  0.440
Li  0.875  0.875  0.312
Li  0.878  0.878  0.818
Mn  0.499  0.499  0.754
Mn  0.501  0.501  0.246
Co  0.000  0.000  0.500
Co  0.250  0.250  0.375
Co  0.250  0.250  0.875
Co  0.750  0.750  0.125
Co  0.750  0.750  0.625
O  0.053  0.053  0.346
O  0.056  0.056  0.830
O  0.191  0.191  0.535
O  0.192  0.192  0.035
O  0.307  0.307  0.713
O  0.308  0.308  0.214
O  0.442  0.442  0.888
O  0.447  0.447  0.411
O  0.553  0.553  0.589
O  0.558  0.558  0.112
O  0.692  0.692  0.786
O  0.693  0.693  0.287
O  0.808  0.808  0.965
O  0.809  0.809  0.465
O  0.944  0.944  0.170
O  0.947  0.947  0.654

***

Starting from the GGA+U geometry in the Materials Project, the PXRD pattern of Mn2V3NiO8 was simulated for CuKα.

Largest 10 diffraction maxima, sorted by position, 10° ≤ 2θ ≤ 80°:
Position (°2θ)	Rel. int.
17.8	36
29.0	33
29.3	50
34.1	100
34.3	73
34.8	96
54.6	34
55.0	33
56.1	31
60.8	45

Crystal structure
Lattice parameters (Å, degrees): 6.082 6.099 10.492 74.57 74.19 60.85
Atoms (fractional coordinates):
Mn  0.182  0.195  0.434
Mn  0.317  0.306  0.066
Mn  0.683  0.694  0.934
Mn  0.818  0.805  0.566
V  0.250  0.250  0.750
V  0.250  0.750  0.250
V  0.250  0.750  0.750
V  0.750  0.250  0.250
V  0.750  0.250  0.750
V  0.750  0.750  0.250
Ni  0.000  0.000  0.000
Ni  0.500  0.500  0.500
O  0.108  0.103  0.141
O  0.109  0.126  0.642
O  0.123  0.651  0.138
O  0.161  0.596  0.635
O  0.342  0.904  0.865
O  0.376  0.850  0.362
O  0.391  0.375  0.858
O  0.391  0.398  0.359
O  0.609  0.602  0.641
O  0.609  0.625  0.142
O  0.624  0.150  0.638
O  0.658  0.096  0.135
O  0.839  0.404  0.365
O  0.877  0.349  0.862
O  0.891  0.874  0.358
O  0.892  0.897  0.859